No. 1
The following is a calculated PXRD pattern of Cs2VP2O8. It was derived from DFT lattice parameters and positions (GGA+U), using Cu Kα (weighted mean of Kα1 and Kα2).

Most intense lines, 5° ≤ 2θ ≤ 70°, by angle:
d = 3.873 Å, 2θ 22.96, I = 90; d = 3.691 Å, 2θ 24.11, I = 21; d = 3.601 Å, 2θ 24.72, I = 100; d = 3.478 Å, 2θ 25.61, I = 24; d = 3.226 Å, 2θ 27.65, I = 24; d = 3.079 Å, 2θ 29.00, I = 55; d = 2.931 Å, 2θ 30.50, I = 18; d = 2.911 Å, 2θ 30.72, I = 36; d = 2.284 Å, 2θ 39.45, I = 20; d = 2.266 Å, 2θ 39.78, I = 24; d = 2.164 Å, 2θ 41.73, I = 15; d = 1.711 Å, 2θ 53.56, I = 17

Cell lengths 13.6925, 7.3815, 9.6476 Å; angles 90.00, 90.00, 90.00 degrees
Space group Pnma (No. 62)
Unique sites:
Cs (0.0884, 0.2500, 0.1279) x4
Cs (0.0983, 0.7500, 0.4137) x4
V (0.2137, 0.7500, 0.9760) x4
P (0.1604, 0.0485, 0.7251) x8
O (0.0556, 0.5077, 0.7095) x8
O (0.1017, 0.7500, 0.0368) x4
O (0.1673, 0.2500, 0.7970) x4
O (0.2145, 0.0634, 0.5839) x8
O (0.2236, 0.5659, 0.8240) x8

---

No. 2
The following is a calculated PXRD pattern of CsV2PO8. It was derived from DFT lattice parameters and positions (GGA+U), using Cu Kα (weighted mean of Kα1 and Kα2).

Most intense lines, 5° ≤ 2θ ≤ 70°, by angle:
d = 4.457 Å, 2θ 19.92, I = 43; d = 3.963 Å, 2θ 22.43, I = 92; d = 3.106 Å, 2θ 28.74, I = 100; d = 2.887 Å, 2θ 30.98, I = 17; d = 2.573 Å, 2θ 34.86, I = 47; d = 2.467 Å, 2θ 36.42, I = 15; d = 2.158 Å, 2θ 41.86, I = 20; d = 1.982 Å, 2θ 45.79, I = 23; d = 1.948 Å, 2θ 46.64, I = 20; d = 1.654 Å, 2θ 55.57, I = 19; d = 1.570 Å, 2θ 58.82, I = 25; d = 1.553 Å, 2θ 59.53, I = 16

Cell lengths 5.1467, 5.1467, 8.6606 Å; angles 90.00, 90.00, 120.00 degrees
Space group P-3 (No. 147)
Unique sites:
Cs (0.0000, 0.0000, 0.0000) x1
V (0.3333, 0.6667, 0.6753) x2
P (0.0000, 0.0000, 0.5000) x1
O (0.0695, 0.2966, 0.6156) x6
O (0.3333, 0.6667, 0.8666) x2

---

No. 3
The following is a calculated PXRD pattern of CsVZnP6O18. It was derived from DFT lattice parameters and positions (GGA+U), using Cu Kα (weighted mean of Kα1 and Kα2).

Most intense lines, 5° ≤ 2θ ≤ 70°, by angle:
d = 7.865 Å, 2θ 11.25, I = 41; d = 5.925 Å, 2θ 14.95, I = 30; d = 4.829 Å, 2θ 18.37, I = 51; d = 4.760 Å, 2θ 18.64, I = 79; d = 4.155 Å, 2θ 21.39, I = 37; d = 4.130 Å, 2θ 21.51, I = 33; d = 3.933 Å, 2θ 22.61, I = 32; d = 3.685 Å, 2θ 24.15, I = 42; d = 3.641 Å, 2θ 24.45, I = 40; d = 3.130 Å, 2θ 28.52, I = 77; d = 2.962 Å, 2θ 30.18, I = 72; d = 2.774 Å, 2θ 32.27, I = 100

Cell lengths 6.4338, 8.5550, 8.5870 Å; angles 104.57, 104.39, 103.20 degrees
Space group P1 (No. 1)
Unique sites:
Cs (0.0000, 0.0000, 0.0000) x1
V (0.5511, 0.1925, 0.7314) x1
Zn (0.5385, 0.7433, 0.1761) x1
P (0.0462, 0.6907, 0.2416) x1
P (0.0514, 0.2568, 0.6676) x1
P (0.4458, 0.5626, 0.7688) x1
P (0.4501, 0.7849, 0.5454) x1
P (0.6506, 0.1570, 0.3612) x1
P (0.6533, 0.3803, 0.1386) x1
O (0.1812, 0.4548, 0.7161) x1
O (0.1872, 0.7398, 0.4413) x1
O (0.1988, 0.7030, 0.1362) x1
O (0.2148, 0.1566, 0.6878) x1
O (0.4496, 0.6206, 0.6055) x1
O (0.4929, 0.4807, 0.1199) x1
O (0.5041, 0.7158, 0.9198) x1
O (0.5103, 0.9407, 0.6997) x1
O (0.5127, 0.1580, 0.4803) x1
O (0.5873, 0.4441, 0.7737) x1
O (0.5899, 0.0049, 0.2088) x1
O (0.5976, 0.7899, 0.4366) x1
O (0.6197, 0.2283, 0.9874) x1
O (0.6446, 0.3195, 0.3011) x1
O (0.8851, 0.7917, 0.2287) x1
O (0.8896, 0.2379, 0.7666) x1
O (0.9145, 0.4916, 0.2006) x1
O (0.9167, 0.2066, 0.4687) x1